# 1
U3Tl2I4O20: theoretical X-ray diffraction stick pattern (Cu Kα, 1.54184 Å), based on a crystal structure in the Materials Project, relaxed with GGA-PBE.
Lines closer than 0.1° are merged.

Principal peaks in the range 2θ from 10° to 90°, low angle first:
14.77°, I 34
23.36°, I 72
23.99°, I 100
25.32°, I 24
26.55°, I 56
27.30°, I 54
27.98°, I 57
28.41°, I 24
28.62°, I 62
29.34°, I 32
30.12°, I 27
44.56°, I 34

Structure:
```
29
Lattice="7.0912 0.0000 0.0000 -0.2424 8.2227 0.0000 -2.4518 -0.1653 8.9454" Properties=species:S:1:pos:R:3 pbc="T T T"
U 0.0000 0.0000 0.0000
U 1.1845 0.5057 7.2123
U 3.2125 7.5517 1.7331
Tl -0.4500 4.7082 7.5542
Tl 4.8470 3.3492 1.3911
I -0.2425 6.4961 3.3733
I 0.9321 2.8157 3.9533
I 3.4649 5.2417 4.9920
I 4.6394 1.5613 5.5720
O -0.8441 2.2940 3.9559
O 0.1145 1.7078 0.6454
O -0.1981 4.8988 2.5266
O -0.9933 0.7323 6.3364
O 0.8107 7.4434 2.1175
O -0.4636 7.9677 8.8305
O 0.9499 4.1891 5.1630
O 1.0198 7.0342 6.5020
O 1.6376 1.4618 4.9960
O 1.0855 2.2309 7.8372
O 3.3115 5.8265 1.1081
O 2.7594 6.5956 3.9493
O 3.3771 1.0232 2.4433
O 3.4470 3.8683 3.7824
O 4.8606 0.0897 0.1149
O 3.5862 0.6140 6.8279
O 5.3902 7.3251 2.6089
O 4.5951 3.1586 6.4187
O 4.2825 6.3497 8.3000
O 5.2410 5.7634 4.9895
```

=====

# 2
CaTa2Cu2O8: theoretical X-ray diffraction stick pattern (Cu Kα, 1.54184 Å), based on a crystal structure in the Materials Project, relaxed with GGA-PBE.
Lines closer than 0.1° are merged.

Principal peaks in the range 2θ from 10° to 90°, low angle first:
19.74°, I 66
20.97°, I 35
21.87°, I 52
26.41°, I 69
27.15°, I 39
27.88°, I 38
28.24°, I 89
28.68°, I 100
29.13°, I 62
31.62°, I 39
46.61°, I 41
54.60°, I 34

Structure:
```
52
Lattice="6.8165 0.0000 0.0000 0.0000 8.9951 0.0000 -0.4387 0.0000 12.6385" Properties=species:S:1:pos:R:3 pbc="T T T"
Ca 0.6725 1.4451 5.8093
Ca 0.4531 3.0524 12.1285
Ca 5.9247 5.9427 0.5099
Ca 5.7054 7.5499 6.8292
Ta 0.5710 0.3583 1.9766
Ta 0.3516 4.1393 8.2958
Ta 2.6269 5.2825 1.8195
Ta 2.4076 8.2101 8.1388
Ta 3.9703 0.7850 4.4997
Ta 3.7509 3.7126 10.8189
Ta 6.0262 4.8558 4.3427
Ta 5.8068 8.6368 10.6619
Cu 1.2047 6.1270 10.8236
Cu 1.4241 7.3657 4.5044
Cu 2.2376 0.4827 11.0674
Cu 2.4570 4.0148 4.7482
Cu 3.9208 4.9802 7.8903
Cu 4.1402 8.5124 1.5711
Cu 4.9538 1.6294 8.1341
Cu 5.1731 2.8681 1.8148
O 0.1158 2.1252 1.4829
O -0.1035 2.3723 7.8022
O 0.2798 0.8674 11.3170
O 0.4992 3.6302 4.9978
O 0.6990 0.1706 3.8288
O 0.4797 4.3270 10.1481
O 1.2993 5.2027 0.5174
O 1.0799 8.2899 6.8366
O 1.9740 5.5921 3.6153
O 1.7546 7.9005 9.9346
O 2.0361 4.5351 7.6286
O 2.2554 8.9576 1.3094
O 2.7725 2.1064 5.0234
O 2.5532 2.3911 11.3426
O 2.9666 5.3802 10.9215
O 3.1860 8.1124 4.6023
O 3.1918 0.8827 8.0362
O 3.4112 3.6149 1.7170
O 3.8247 6.6039 1.2959
O 3.6053 6.8887 7.6151
O 4.1224 0.0375 11.3291
O 4.3418 4.4600 5.0099
O 4.6232 1.0946 2.7039
O 4.4039 3.4029 9.0231
O 5.2979 0.7052 5.8019
O 5.0786 3.7923 12.1211
O 5.8982 4.6681 2.4904
O 5.6788 8.8245 8.8096
O 5.8787 5.3649 7.6407
O 6.0980 8.1277 1.3215
O 6.4813 6.6228 4.8363
O 6.2620 6.8699 11.1555
```